[1]
This entry pairs a crystal structure of La2TlRhAu with its computed X-ray powder pattern. Radiation: Cu Kα, 1.54184 Å. Structure: a structure optimized by DFT (GGA-PBE).

Cell and atoms:
```
La2TlRhAu
1.0
8.059 0.000 0.000
0.000 4.207 0.000
-3.140 0.000 7.865
La Tl Rh Au
4 2 2 2
Cartesian
-0.458 1.052 1.811 La
0.927 3.155 4.900 La
3.992 1.052 2.965 La
5.377 3.155 6.053 La
-0.330 1.052 7.560 Tl
5.249 3.155 0.305 Tl
-1.070 1.052 4.849 Rh
5.989 3.155 3.015 Rh
1.860 3.155 1.782 Au
3.059 1.052 6.082 Au
```

The 12 most intense peaks (10 to 80 degrees two-theta), low angle first:
28.67°, d 3.114, rel. 35
30.83°, d 2.900, rel. 100
31.71°, d 2.822, rel. 44
32.01°, d 2.796, rel. 22
33.80°, d 2.652, rel. 66
36.00°, d 2.495, rel. 37
36.41°, d 2.468, rel. 70
38.41°, d 2.344, rel. 33
43.00°, d 2.103, rel. 44
48.14°, d 1.890, rel. 24
54.40°, d 1.686, rel. 20
57.29°, d 1.608, rel. 19

---

[2]
This entry pairs a crystal structure of La3RuAu with its computed X-ray powder pattern. Radiation: Cu Kα, 1.54184 Å. Structure: a structure optimized by DFT (GGA-PBE).

Cell and atoms:
```
La3RuAu
1.0
0.000 7.069 7.069
7.069 0.000 7.069
7.069 7.069 0.000
La Ru Au
12 4 4
Cartesian
5.301 5.301 1.261 La
5.301 1.261 5.301 La
9.342 5.301 5.301 La
8.836 8.836 4.795 La
8.836 4.795 8.836 La
12.876 8.836 8.836 La
1.261 5.301 5.301 La
5.301 9.342 5.301 La
5.301 5.301 9.342 La
4.795 8.836 8.836 La
8.836 12.876 8.836 La
8.836 8.836 12.876 La
0.000 0.000 0.000 Ru
3.534 3.534 0.000 Ru
3.534 0.000 3.534 Ru
0.000 3.534 3.534 Ru
7.069 3.534 3.534 Au
3.534 7.069 3.534 Au
3.534 3.534 7.069 Au
7.069 7.069 7.069 Au
```

The 12 most intense peaks (10 to 80 degrees two-theta), low angle first:
17.75°, d 4.998, rel. 19
21.78°, d 4.081, rel. 58
27.50°, d 3.243, rel. 23
30.99°, d 2.886, rel. 21
32.92°, d 2.721, rel. 26
35.94°, d 2.499, rel. 100
42.41°, d 2.131, rel. 31
51.73°, d 1.767, rel. 14
53.02°, d 1.727, rel. 13
56.77°, d 1.622, rel. 13
64.59°, d 1.443, rel. 19
68.68°, d 1.367, rel. 13

---

[3]
This entry pairs a crystal structure of La3RuAu with its computed X-ray powder pattern. Radiation: Cu Kα, 1.54184 Å. Structure: a structure optimized by DFT (GGA-PBE).

Cell and atoms:
```
La3RuAu
1.0
7.355 -5.383 0.000
7.355 5.383 0.000
-0.798 0.000 7.590
La Ru Au
12 4 4
Cartesian
5.130 4.267 6.742 La
2.417 2.031 5.117 La
8.383 4.267 4.644 La
5.518 0.522 0.594 La
2.816 -2.031 1.321 La
5.119 -0.522 4.389 La
8.794 0.522 3.201 La
11.097 2.031 6.269 La
8.395 -0.522 6.996 La
5.529 -4.267 2.947 La
11.496 -2.031 2.474 La
8.782 -4.267 0.849 La
3.222 0.592 2.805 Ru
2.823 -0.592 6.600 Ru
11.089 0.592 0.990 Ru
10.690 -0.592 4.785 Ru
7.156 3.595 1.898 Au
6.757 1.730 5.693 Au
7.156 -1.730 1.898 Au
6.757 -3.595 5.693 Au
```

The 12 most intense peaks (10 to 80 degrees two-theta), low angle first:
24.16°, d 3.684, rel. 58
24.28°, d 3.666, rel. 24
28.78°, d 3.102, rel. 34
29.48°, d 3.030, rel. 99
30.87°, d 2.897, rel. 100
32.16°, d 2.783, rel. 34
32.46°, d 2.759, rel. 52
35.38°, d 2.537, rel. 100
39.34°, d 2.290, rel. 63
40.61°, d 2.222, rel. 25
43.53°, d 2.079, rel. 34
50.99°, d 1.791, rel. 23

---

[4]
This entry pairs a crystal structure of La3RuAu with its computed X-ray powder pattern. Radiation: Cu Kα, 1.54184 Å. Structure: a structure optimized by DFT (GGA-PBE).

Cell and atoms:
```
La3RuAu
1.0
6.411 0.000 0.000
3.013 6.904 0.000
1.380 3.304 6.820
La Ru Au
6 2 2
Cartesian
0.000 0.000 0.000 La
1.297 2.768 3.007 La
4.529 3.822 4.943 La
4.388 3.054 0.876 La
6.141 6.382 2.423 La
8.957 6.912 5.562 La
2.189 1.664 0.709 Ru
6.976 5.034 4.778 Ru
2.942 5.427 2.757 Au
5.858 7.927 5.098 Au
```

The 12 most intense peaks (10 to 80 degrees two-theta), low angle first:
24.13°, d 3.689, rel. 24
29.25°, d 3.053, rel. 57
30.19°, d 2.960, rel. 37
30.42°, d 2.938, rel. 61
30.62°, d 2.920, rel. 66
30.82°, d 2.901, rel. 61
31.11°, d 2.875, rel. 100
37.34°, d 2.408, rel. 43
39.64°, d 2.274, rel. 43
40.58°, d 2.223, rel. 33
41.58°, d 2.172, rel. 51
50.51°, d 1.807, rel. 26

---

[5]
This entry pairs a crystal structure of La5Ru2Au2 with its computed X-ray powder pattern. Radiation: Cu Kα, 1.54184 Å. Structure: a structure optimized by DFT (GGA-PBE).

Cell and atoms:
```
La5Ru2Au2
1.0
7.770 -3.981 0.000
7.770 3.981 0.000
0.000 0.000 7.885
La Ru Au
10 4 4
Cartesian
0.000 0.000 0.000 La
5.828 2.620 5.260 La
5.828 1.360 1.318 La
9.713 2.620 5.260 La
9.713 1.360 1.318 La
7.770 0.000 3.943 La
5.828 -1.360 6.568 La
5.828 -2.620 2.625 La
9.713 -1.360 6.568 La
9.713 -2.620 2.625 La
7.770 2.867 2.847 Ru
7.770 1.114 6.789 Ru
7.770 -1.114 1.096 Ru
7.770 -2.867 5.038 Ru
3.261 0.000 0.000 Au
4.509 0.000 3.943 Au
11.031 0.000 3.943 Au
12.279 0.000 0.000 Au
```

The 12 most intense peaks (10 to 80 degrees two-theta), low angle first:
25.10°, d 3.548, rel. 43
30.63°, d 2.919, rel. 89
31.95°, d 2.801, rel. 93
32.19°, d 2.780, rel. 71
32.35°, d 2.767, rel. 65
32.96°, d 2.718, rel. 98
34.20°, d 2.622, rel. 100
36.18°, d 2.483, rel. 83
36.46°, d 2.464, rel. 78
38.58°, d 2.334, rel. 47
46.71°, d 1.945, rel. 45
57.58°, d 1.601, rel. 41

---

[6]
This entry pairs a crystal structure of La7RuAu2 with its computed X-ray powder pattern. Radiation: Cu Kα, 1.54184 Å. Structure: a structure optimized by DFT (GGA-PBE).

Cell and atoms:
```
La7RuAu2
1.0
7.944 -4.409 0.000
7.944 4.409 0.000
-6.573 0.000 8.518
La Ru Au
14 2 4
Cartesian
3.015 3.826 6.388 La
4.253 1.951 1.733 La
1.676 0.942 4.180 La
0.671 1.683 7.752 La
5.358 1.683 5.024 La
-1.610 -0.942 8.439 La
8.348 1.951 2.526 La
0.967 -1.951 5.992 La
10.926 0.942 0.079 La
3.957 -1.683 3.493 La
8.645 -1.683 0.766 La
7.639 -0.942 4.338 La
5.062 -1.951 6.785 La
6.301 -3.826 2.129 La
3.015 0.086 6.388 Ru
6.301 -0.086 2.129 Ru
-1.323 0.256 5.262 Au
1.963 -0.256 1.003 Au
7.352 0.256 7.515 Au
10.639 -0.256 3.256 Au
```

The 12 most intense peaks (10 to 80 degrees two-theta), low angle first:
29.49°, d 3.029, rel. 35
29.90°, d 2.989, rel. 35
30.51°, d 2.930, rel. 100
30.68°, d 2.914, rel. 54
31.53°, d 2.837, rel. 73
31.77°, d 2.817, rel. 29
33.49°, d 2.676, rel. 23
35.15°, d 2.553, rel. 23
35.28°, d 2.544, rel. 36
37.37°, d 2.407, rel. 26
37.90°, d 2.374, rel. 28
55.10°, d 1.667, rel. 25

---

Repeat the first record exactly.
This entry pairs a crystal structure of La2TlRhAu with its computed X-ray powder pattern. Radiation: Cu Kα, 1.54184 Å. Structure: a structure optimized by DFT (GGA-PBE).

Cell and atoms:
```
La2TlRhAu
1.0
8.059 0.000 0.000
0.000 4.207 0.000
-3.140 0.000 7.865
La Tl Rh Au
4 2 2 2
Cartesian
-0.458 1.052 1.811 La
0.927 3.155 4.900 La
3.992 1.052 2.965 La
5.377 3.155 6.053 La
-0.330 1.052 7.560 Tl
5.249 3.155 0.305 Tl
-1.070 1.052 4.849 Rh
5.989 3.155 3.015 Rh
1.860 3.155 1.782 Au
3.059 1.052 6.082 Au
```

The 12 most intense peaks (10 to 80 degrees two-theta), low angle first:
28.67°, d 3.114, rel. 35
30.83°, d 2.900, rel. 100
31.71°, d 2.822, rel. 44
32.01°, d 2.796, rel. 22
33.80°, d 2.652, rel. 66
36.00°, d 2.495, rel. 37
36.41°, d 2.468, rel. 70
38.41°, d 2.344, rel. 33
43.00°, d 2.103, rel. 44
48.14°, d 1.890, rel. 24
54.40°, d 1.686, rel. 20
57.29°, d 1.608, rel. 19

---

Repeat the fourth record exactly.
This entry pairs a crystal structure of La3RuAu with its computed X-ray powder pattern. Radiation: Cu Kα, 1.54184 Å. Structure: a structure optimized by DFT (GGA-PBE).

Cell and atoms:
```
La3RuAu
1.0
6.411 0.000 0.000
3.013 6.904 0.000
1.380 3.304 6.820
La Ru Au
6 2 2
Cartesian
0.000 0.000 0.000 La
1.297 2.768 3.007 La
4.529 3.822 4.943 La
4.388 3.054 0.876 La
6.141 6.382 2.423 La
8.957 6.912 5.562 La
2.189 1.664 0.709 Ru
6.976 5.034 4.778 Ru
2.942 5.427 2.757 Au
5.858 7.927 5.098 Au
```

The 12 most intense peaks (10 to 80 degrees two-theta), low angle first:
24.13°, d 3.689, rel. 24
29.25°, d 3.053, rel. 57
30.19°, d 2.960, rel. 37
30.42°, d 2.938, rel. 61
30.62°, d 2.920, rel. 66
30.82°, d 2.901, rel. 61
31.11°, d 2.875, rel. 100
37.34°, d 2.408, rel. 43
39.64°, d 2.274, rel. 43
40.58°, d 2.223, rel. 33
41.58°, d 2.172, rel. 51
50.51°, d 1.807, rel. 26

---

Repeat the second record exactly.
This entry pairs a crystal structure of La3RuAu with its computed X-ray powder pattern. Radiation: Cu Kα, 1.54184 Å. Structure: a structure optimized by DFT (GGA-PBE).

Cell and atoms:
```
La3RuAu
1.0
0.000 7.069 7.069
7.069 0.000 7.069
7.069 7.069 0.000
La Ru Au
12 4 4
Cartesian
5.301 5.301 1.261 La
5.301 1.261 5.301 La
9.342 5.301 5.301 La
8.836 8.836 4.795 La
8.836 4.795 8.836 La
12.876 8.836 8.836 La
1.261 5.301 5.301 La
5.301 9.342 5.301 La
5.301 5.301 9.342 La
4.795 8.836 8.836 La
8.836 12.876 8.836 La
8.836 8.836 12.876 La
0.000 0.000 0.000 Ru
3.534 3.534 0.000 Ru
3.534 0.000 3.534 Ru
0.000 3.534 3.534 Ru
7.069 3.534 3.534 Au
3.534 7.069 3.534 Au
3.534 3.534 7.069 Au
7.069 7.069 7.069 Au
```

The 12 most intense peaks (10 to 80 degrees two-theta), low angle first:
17.75°, d 4.998, rel. 19
21.78°, d 4.081, rel. 58
27.50°, d 3.243, rel. 23
30.99°, d 2.886, rel. 21
32.92°, d 2.721, rel. 26
35.94°, d 2.499, rel. 100
42.41°, d 2.131, rel. 31
51.73°, d 1.767, rel. 14
53.02°, d 1.727, rel. 13
56.77°, d 1.622, rel. 13
64.59°, d 1.443, rel. 19
68.68°, d 1.367, rel. 13